Record 1
Starting from a crystal structure in the Materials Project, relaxed with PBE, the powder X-ray diffraction pattern of MgBi4O10 was calculated for Cu Kα (weighted mean of Kα1 and Kα2).
Intensities are scaled so that the largest is 100.

Largest 10 diffraction maxima, low angle first, 2θ = 15–90°:
- 16.2 deg, 5.484 Å, I 89, (2 0 0)
- 18.1 deg, 4.898 Å, I 49, (1 0 2)
- 22.5 deg, 3.947 Å, I 100, (0 1 1)
- 27.8 deg, 3.204 Å, I 35, (2 1 1)
- 29.4 deg, 3.041 Å, I 90, (3 0 2)
- 32.4 deg, 2.764 Å, I 44, (0 1 3)
- 32.7 deg, 2.737 Å, I 33, (0 0 4)
- 33.4 deg, 2.682 Å, I 60, (3 1 1)
- 52.7 deg, 1.737 Å, I 37, (3 2 2)
- 53.3 deg, 1.717 Å, I 42, (3 1 5)

Crystal structure
a b c (Å): 10.9697 4.2317 10.9488
angles (deg): 90.00 90.00 90.00
Space group Amm2 (No. 38)
One atom of each set of equivalent atoms:
Mg1 0.0000 0.0000 0.0000 (multiplicity 2)
Bi1 0.1805 0.0000 0.6752 (multiplicity 4)
Bi2 0.3188 0.0000 0.9453 (multiplicity 4)
O1 0.0000 0.0000 0.5816 (multiplicity 2)
O2 0.1297 0.0000 0.8653 (multiplicity 4)
O3 0.1646 0.0000 0.1187 (multiplicity 4)
O4 0.2833 0.0000 0.4981 (multiplicity 4)
O5 0.3552 0.0000 0.7552 (multiplicity 4)
O6 0.5000 0.0000 0.0079 (multiplicity 2)

---

Record 2
Starting from a crystal structure in the Materials Project, relaxed with PBE, the powder X-ray diffraction pattern of Rb4CaSe4O14 was calculated for Cu Kα (weighted mean of Kα1 and Kα2).
Intensities are scaled so that the largest is 100.

Largest 10 diffraction maxima, low angle first, 2θ = 15–90°:
- 16.9 deg, 5.251 Å, I 42, (1 -1 1)
- 22.0 deg, 4.042 Å, I 44, (0 2 -1)
- 22.2 deg, 4.009 Å, I 67, (0 0 2)
- 24.3 deg, 3.665 Å, I 94, (1 -2 1)
- 25.3 deg, 3.524 Å, I 100, (2 0 -1)
- 25.5 deg, 3.489 Å, I 38, (1 2 -1)
- 25.6 deg, 3.475 Å, I 39, (1 0 2)
- 26.4 deg, 3.382 Å, I 34, (2 0 1)
- 28.2 deg, 3.161 Å, I 36, (1 2 -2)
- 30.3 deg, 2.947 Å, I 41, (0 2 1)

Crystal structure
a b c (Å): 7.6740 8.1195 8.7546
angles (deg): 113.50 91.35 93.63
Space group P1 (No. 1)
One atom of each set of equivalent atoms:
Rb1 0.0000 0.0000 0.0000 (multiplicity 1)
Rb2 0.1268 0.7324 0.3345 (multiplicity 1)
Rb3 0.5240 0.2956 0.0618 (multiplicity 1)
Rb4 0.6507 0.1093 0.4944 (multiplicity 1)
Ca1 0.3929 0.6441 0.6730 (multiplicity 1)
Se1 0.0062 0.4336 0.9034 (multiplicity 1)
Se2 0.1755 0.2455 0.5321 (multiplicity 1)
Se3 0.4816 0.8568 0.0760 (multiplicity 1)
Se4 0.7340 0.6365 0.5130 (multiplicity 1)
O1 0.0054 0.1207 0.4201 (multiplicity 1)
O2 0.1045 0.4446 0.7131 (multiplicity 1)
O3 0.1664 0.3885 0.0069 (multiplicity 1)
O4 0.2770 0.3764 0.4503 (multiplicity 1)
O5 0.3013 0.1493 0.6212 (multiplicity 1)
O6 0.3446 0.9483 0.2328 (multiplicity 1)
O7 0.3731 0.8824 0.9064 (multiplicity 1)
O8 0.5475 0.7326 0.4907 (multiplicity 1)
O9 0.6570 0.0115 0.1247 (multiplicity 1)
O10 0.6648 0.5280 0.6341 (multiplicity 1)
O11 0.7935 0.4961 0.3282 (multiplicity 1)
O12 0.8454 0.2734 0.8372 (multiplicity 1)
O13 0.8934 0.7957 0.6101 (multiplicity 1)
O14 0.9500 0.6407 0.9968 (multiplicity 1)

---

Record 3
Starting from a crystal structure in the Materials Project, relaxed with PBE, the powder X-ray diffraction pattern of Li2AgF5 was calculated for Cu Kα (weighted mean of Kα1 and Kα2).
Intensities are scaled so that the largest is 100.

Largest 10 diffraction maxima, low angle first, 2θ = 15–90°:
- 18.8 deg, 4.732 Å, I 66, (0 0 2)
- 19.4 deg, 4.571 Å, I 100, (0 1 1)
- 23.2 deg, 3.830 Å, I 43, (2 0 0)
- 23.9 deg, 3.716 Å, I 32, (2 0 -2)
- 27.6 deg, 3.230 Å, I 75, (2 1 -1)
- 33.1 deg, 2.709 Å, I 32, (2 1 1)
- 33.2 deg, 2.700 Å, I 24, (0 1 3)
- 34.1 deg, 2.629 Å, I 22, (2 1 -3)
- 39.4 deg, 2.284 Å, I 26, (0 2 2)
- 50.0 deg, 1.826 Å, I 23, (2 2 2)

Crystal structure
a b c (Å): 8.2316 5.2207 10.1711
angles (deg): 90.00 111.49 90.00
Space group P2_1/c (No. 14)
One atom of each set of equivalent atoms:
Li1 0.1367 0.0307 0.3722 (multiplicity 4)
Li2 0.3522 0.0079 0.6692 (multiplicity 4)
Ag1 0.0000 0.0000 0.0000 (multiplicity 2)
Ag2 0.5000 0.0000 0.0000 (multiplicity 2)
F1 0.0411 0.6545 0.6902 (multiplicity 4)
F2 0.1237 0.1796 0.5771 (multiplicity 4)
F3 0.2677 0.7098 0.0108 (multiplicity 4)
F4 0.3291 0.2260 0.8644 (multiplicity 4)
F5 0.4900 0.7066 0.3303 (multiplicity 4)

---

Record 4
Starting from a crystal structure in the Materials Project, relaxed with PBE, the powder X-ray diffraction pattern of BeN2F4 was calculated for Cu Kα (weighted mean of Kα1 and Kα2).
Intensities are scaled so that the largest is 100.

Largest 10 diffraction maxima, low angle first, 2θ = 15–90°:
- 19.5 deg, 4.549 Å, I 49, (2 0 2)
- 23.0 deg, 3.872 Å, I 47, (3 1 0)
- 24.1 deg, 3.697 Å, I 98, (0 2 0)
- 24.9 deg, 3.570 Å, I 80, (0 1 3)
- 26.0 deg, 3.425 Å, I 47, (1 2 1)
- 27.2 deg, 3.280 Å, I 59, (4 0 1)
- 28.2 deg, 3.163 Å, I 46, (0 2 2)
- 32.1 deg, 2.789 Å, I 100, (2 0 4)
- 32.4 deg, 2.760 Å, I 46, (4 1 2)
- 42.3 deg, 2.135 Å, I 62, (6 1 1)

Crystal structure
a b c (Å): 13.6196 7.3950 12.2279
angles (deg): 90.00 90.00 90.00
Space group Pna2_1 (No. 33)
One atom of each set of equivalent atoms:
Be1 0.0600 0.2006 0.0000 (multiplicity 4)
Be2 0.1144 0.7977 0.1138 (multiplicity 4)
N1 0.0017 0.6338 0.8900 (multiplicity 4)
N2 0.1345 0.7219 0.4671 (multiplicity 4)
N3 0.1986 0.2916 0.6979 (multiplicity 4)
N4 0.2415 0.7341 0.7797 (multiplicity 4)
F1 0.0188 0.7917 0.1580 (multiplicity 4)
F2 0.0615 0.1172 0.8987 (multiplicity 4)
F3 0.0619 0.4910 0.9081 (multiplicity 4)
F4 0.0736 0.2567 0.1081 (multiplicity 4)
F5 0.1712 0.7939 0.0168 (multiplicity 4)
F6 0.1955 0.8305 0.2242 (multiplicity 4)
F7 0.1985 0.1123 0.6906 (multiplicity 4)
F8 0.2161 0.8191 0.4810 (multiplicity 4)

---

Record 5
Starting from a crystal structure in the Materials Project, relaxed with PBE, the powder X-ray diffraction pattern of MgCuO2 was calculated for Cu Kα (weighted mean of Kα1 and Kα2).
Intensities are scaled so that the largest is 100.

Largest 10 diffraction maxima, low angle first, 2θ = 15–90°:
- 21.4 deg, 4.156 Å, I 35, (0 2 0)
- 29.1 deg, 3.065 Å, I 19, (0 0 1)
- 29.3 deg, 3.052 Å, I 17, (2 0 0)
- 36.4 deg, 2.467 Å, I 41, (0 2 1)
- 36.5 deg, 2.460 Å, I 37, (2 2 0)
- 41.8 deg, 2.163 Å, I 100, (2 0 1)
- 43.6 deg, 2.078 Å, I 46, (0 4 0)
- 47.4 deg, 1.919 Å, I 15, (2 2 1)
- 60.7 deg, 1.526 Å, I 15, (4 0 0)
- 61.9 deg, 1.498 Å, I 54, (2 4 1)

Crystal structure
a b c (Å): 6.1044 8.3116 3.0651
angles (deg): 90.00 90.00 90.00
Space group Cmme (No. 67)
One atom of each set of equivalent atoms:
Mg1 0.0000 0.0000 0.0000 (multiplicity 4)
Cu1 0.2500 0.2500 0.5000 (multiplicity 4)
O1 0.0000 0.2500 0.0963 (multiplicity 4)
O2 0.2500 0.0000 0.5000 (multiplicity 4)

---

Record 6
Starting from a crystal structure in the Materials Project, relaxed with PBE, the powder X-ray diffraction pattern of Hf3Ge was calculated for Cu Kα (weighted mean of Kα1 and Kα2).
Intensities are scaled so that the largest is 100.

Largest 10 diffraction maxima, low angle first, 2θ = 15–90°:
- 30.6 deg, 2.924 Å, I 28, (1 3 1)
- 33.8 deg, 2.655 Å, I 100, (3 2 1)
- 34.6 deg, 2.589 Å, I 39, (3 3 0)
- 35.1 deg, 2.556 Å, I 60, (1 1 2)
- 36.6 deg, 2.456 Å, I 45, (4 2 0)
- 37.6 deg, 2.390 Å, I 77, (1 4 1)
- 40.6 deg, 2.221 Å, I 29, (2 2 2)
- 41.9 deg, 2.154 Å, I 24, (1 5 0)
- 42.3 deg, 2.135 Å, I 26, (3 1 2)
- 59.5 deg, 1.553 Å, I 33, (5 5 0)

Crystal structure
a b c (Å): 10.9842 10.9842 5.4145
angles (deg): 90.00 90.00 90.00
Space group P4_2/n (No. 86, origin choice 2)
One atom of each set of equivalent atoms:
Hf1 0.0332 0.9339 0.2469 (multiplicity 8)
Hf2 0.1084 0.2751 0.0260 (multiplicity 8)
Hf3 0.1445 0.8335 0.7245 (multiplicity 8)
Ge1 0.0459 0.2881 0.5318 (multiplicity 8)

---

Record 7
Starting from a crystal structure in the Materials Project, relaxed with PBE, the powder X-ray diffraction pattern of BaCeNbInO6 was calculated for Cu Kα (weighted mean of Kα1 and Kα2).
Intensities are scaled so that the largest is 100.

Largest 10 diffraction maxima, low angle first, 2θ = 15–90°:
- 29.4 deg, 3.036 Å, I 100, (2 0 2)
- 42.0 deg, 2.149 Å, I 20, (0 4 0)
- 42.2 deg, 2.143 Å, I 10, (4 0 0)
- 52.2 deg, 1.753 Å, I 41, (4 2 2)
- 61.0 deg, 1.519 Å, I 12, (0 4 4)
- 61.1 deg, 1.517 Å, I 6, (4 4 0)
- 69.1 deg, 1.359 Å, I 12, (2 0 6)
- 76.9 deg, 1.239 Å, I 6, (4 4 4)
- 84.4 deg, 1.148 Å, I 14, (2 4 6)
- 84.5 deg, 1.147 Å, I 7, (6 2 4)

Crystal structure
a b c (Å): 8.5710 8.5922 8.5983
angles (deg): 90.00 90.00 90.00
Space group Pnnn (No. 48, origin choice 2)
One atom of each set of equivalent atoms:
Ba1 0.2500 0.2500 0.2500 (multiplicity 2)
Ba2 0.2500 0.2500 0.7500 (multiplicity 2)
Ce1 0.0000 0.0000 0.0000 (multiplicity 4)
Nb1 0.0000 0.0000 0.5000 (multiplicity 4)
In1 0.2500 0.7500 0.2500 (multiplicity 2)
In2 0.2500 0.7500 0.7500 (multiplicity 2)
O1 0.0170 0.5021 0.2355 (multiplicity 8)
O2 0.0192 0.2367 0.4991 (multiplicity 8)
O3 0.2360 0.9996 0.5174 (multiplicity 8)

---

Record 8
Starting from a crystal structure in the Materials Project, relaxed with PBE, the powder X-ray diffraction pattern of PNF2 was calculated for Cu Kα (weighted mean of Kα1 and Kα2).
Intensities are scaled so that the largest is 100.

Largest 10 diffraction maxima, low angle first, 2θ = 15–90°:
- 19.3 deg, 4.600 Å, I 98, (1 1 -1)
- 22.2 deg, 4.011 Å, I 100, (1 2 -1)
- 25.0 deg, 3.565 Å, I 83, (0 0 2)
- 25.1 deg, 3.549 Å, I 64, (0 4 0)
- 25.9 deg, 3.441 Å, I 37, (1 1 1)
- 28.1 deg, 3.179 Å, I 33, (0 4 1)
- 28.1 deg, 3.173 Å, I 65, (1 2 1)
- 31.1 deg, 2.879 Å, I 13, (1 4 0)
- 31.2 deg, 2.866 Å, I 18, (1 4 -1)
- 44.6 deg, 2.034 Å, I 19, (1 4 -3)

Crystal structure
a b c (Å): 5.2106 14.1944 7.5432
angles (deg): 90.00 109.05 90.00
Space group P2_1/c (No. 14)
One atom of each set of equivalent atoms:
P1 0.0759 0.1132 0.1890 (multiplicity 4)
P2 0.3127 0.5772 0.6928 (multiplicity 4)
N1 0.1607 0.6226 0.4997 (multiplicity 4)
N2 0.2532 0.0232 0.2511 (multiplicity 4)
F1 0.0389 0.6389 0.1506 (multiplicity 4)
F2 0.2715 0.1984 0.2052 (multiplicity 4)
F3 0.3037 0.6473 0.8497 (multiplicity 4)
F4 0.3760 0.0824 0.7794 (multiplicity 4)

---

Record 9
Starting from a crystal structure in the Materials Project, relaxed with PBE, the powder X-ray diffraction pattern of MgSi2 was calculated for Cu Kα (weighted mean of Kα1 and Kα2).
Intensities are scaled so that the largest is 100.

Largest 10 diffraction maxima, low angle first, 2θ = 15–90°:
- 26.5 deg, 3.367 Å, I 32, (0 2 0)
- 30.0 deg, 2.977 Å, I 54, (2 1 -1)
- 32.0 deg, 2.801 Å, I 100, (-1 1 3)
- 33.7 deg, 2.658 Å, I 36, (1 -2 1)
- 35.4 deg, 2.535 Å, I 62, (0 1 4)
- 36.6 deg, 2.454 Å, I 34, (1 0 4)
- 37.3 deg, 2.410 Å, I 37, (1 -2 2)
- 46.4 deg, 1.959 Å, I 34, (2 3 -1)
- 47.2 deg, 1.924 Å, I 32, (-1 3 2)
- 49.5 deg, 1.840 Å, I 32, (1 3 -3)

Crystal structure
a b c (Å): 6.5425 6.8586 10.6646
angles (deg): 85.85 89.50 79.85
Space group P-1 (No. 2)
One atom of each set of equivalent atoms:
Mg1 0.0902 0.1498 0.2370 (multiplicity 2)
Mg2 0.2416 0.6603 0.2383 (multiplicity 2)
Mg3 0.2804 0.9034 0.4843 (multiplicity 2)
Mg4 0.2934 0.4821 0.6442 (multiplicity 2)
Si1 0.0419 0.8260 0.0289 (multiplicity 2)
Si2 0.0539 0.3191 0.4807 (multiplicity 2)
Si3 0.1180 0.1298 0.6736 (multiplicity 2)
Si4 0.2283 0.6187 0.8805 (multiplicity 2)
Si5 0.2805 0.2861 0.9672 (multiplicity 2)
Si6 0.3838 0.3134 0.3770 (multiplicity 2)
Si7 0.4404 0.1174 0.7916 (multiplicity 2)
Si8 0.4770 0.2322 0.1596 (multiplicity 2)